(1)
Simulated powder XRD pattern of Mg5Sb for Cu Kα (λ = 1.5418 Å), from a cell relaxed with PBE.
No peak broadening, texture or thermal motion is included.

Top 10 peaks for 5° ≤ 2θ ≤ 70°, in order of falling intensity:
d/Å  2θ (°)  Rel. int.
2.611  34.35  100
6.930  12.77  36
4.275  20.78  25
3.086  28.94  23
3.749  23.73  19
2.310  38.99  17
2.247  40.13  16
2.229  40.47  16
4.458  19.92  14
1.385  67.65  14

Cell and atoms:
```
Mg5Sb
1.0
4.494 0.000 0.000
0.000 13.860 0.000
0.000 0.000 4.458
Mg Sb
10 2
Direct
0.000 0.000 0.000
0.000 0.168 0.500
0.000 0.329 0.000
0.000 0.671 0.000
0.000 0.832 0.500
0.500 0.171 0.000
0.500 0.332 0.500
0.500 0.500 0.000
0.500 0.668 0.500
0.500 0.829 0.000
0.000 0.500 0.500
0.500 0.000 0.500
```

(2)
Simulated powder XRD pattern of TiCu3P4O16 for Cu Kα (λ = 1.5418 Å), from a cell relaxed with PBE.
No peak broadening, texture or thermal motion is included.

Top 10 peaks for 5° ≤ 2θ ≤ 70°, in order of falling intensity:
d/Å  2θ (°)  Rel. int.
4.672  18.99  100
3.018  29.60  67
5.026  17.65  59
2.533  35.45  48
4.531  19.59  42
2.513  35.73  35
3.675  24.22  28
3.139  28.43  21
2.483  36.18  20
1.509  61.43  20

Cell and atoms:
```
TiCu3P4O16
1.0
5.177 0.000 0.000
0.000 6.036 0.000
-0.379 0.000 10.053
Ti Cu P O
1 3 4 16
Direct
0.000 0.000 0.000
0.157 0.500 0.604
0.379 0.500 0.098
0.660 0.000 0.475
0.101 0.000 0.676
0.459 0.000 0.177
0.579 0.500 0.402
0.974 0.500 0.892
0.140 0.000 0.833
0.246 0.199 0.619
0.246 0.801 0.619
0.270 0.500 0.920
0.289 0.189 0.108
0.289 0.500 0.433
0.289 0.811 0.108
0.429 0.000 0.327
0.594 0.500 0.249
0.735 0.302 0.463
0.735 0.698 0.463
0.740 0.000 0.138
0.806 0.000 0.649
0.850 0.292 0.958
0.850 0.708 0.958
0.923 0.500 0.741
```

(3)
Simulated powder XRD pattern of Cs2Nd2ZrS6 for Cu Kα (λ = 1.5418 Å), from a cell relaxed with PBE.
No peak broadening, texture or thermal motion is included.

Top 10 peaks for 5° ≤ 2θ ≤ 70°, in order of falling intensity:
d/Å  2θ (°)  Rel. int.
3.048  29.31  100
2.323  38.76  54
3.077  29.02  50
4.127  21.53  43
2.035  44.53  42
3.377  26.39  40
8.254  10.72  38
2.020  44.87  35
3.392  26.27  20
1.689  54.32  18

Cell and atoms:
```
Cs2Nd2ZrS6
1.0
3.534 -6.060 0.000
3.534 6.060 0.000
-2.408 0.000 8.254
Cs Nd Zr S
2 2 1 6
Direct
0.170 0.830 0.000
0.830 0.170 0.000
0.334 0.666 0.500
0.666 0.334 0.500
0.000 0.000 0.500
0.061 0.370 0.679
0.245 0.245 0.322
0.370 0.061 0.679
0.630 0.939 0.321
0.755 0.755 0.678
0.939 0.630 0.321
```

(4)
Simulated powder XRD pattern of Li3NdAl3 for Cu Kα (λ = 1.5418 Å), from a cell relaxed with PBE.
No peak broadening, texture or thermal motion is included.

Top 10 peaks for 5° ≤ 2θ ≤ 70°, in order of falling intensity:
d/Å  2θ (°)  Rel. int.
2.761  32.43  100
4.782  18.56  77
1.807  50.50  57
3.381  26.36  43
2.138  42.26  20
1.512  61.30  16
1.442  64.65  14
2.391  37.62  14
1.594  57.85  12
1.691  54.26  11

Cell and atoms:
```
Li3NdAl3
1.0
6.763 0.000 0.000
0.000 6.763 0.000
0.000 0.000 6.763
Li Nd Al
6 2 6
Direct
0.000 0.250 0.500
0.000 0.750 0.500
0.250 0.500 0.000
0.500 0.000 0.250
0.500 0.000 0.750
0.750 0.500 0.000
0.000 0.000 0.000
0.500 0.500 0.500
0.000 0.500 0.250
0.000 0.500 0.750
0.250 0.000 0.500
0.500 0.250 0.000
0.500 0.750 0.000
0.750 0.000 0.500
```

(5)
Simulated powder XRD pattern of Rb4PtI6 for Cu Kα (λ = 1.5418 Å), from a cell relaxed with PBE.
No peak broadening, texture or thermal motion is included.

Top 10 peaks for 5° ≤ 2θ ≤ 70°, in order of falling intensity:
d/Å  2θ (°)  Rel. int.
7.070  12.52  100
3.336  26.72  92
3.144  28.39  86
1.968  46.12  38
2.525  35.56  27
2.222  40.59  25
3.001  29.77  24
3.188  27.99  20
1.668  55.05  20
1.574  58.65  15

Cell and atoms:
```
Rb4PtI6
1.0
9.939 0.000 0.000
0.000 9.939 0.000
0.000 0.000 10.098
Rb Pt I
8 2 12
Direct
0.165 0.335 0.250
0.165 0.335 0.750
0.335 0.835 0.250
0.335 0.835 0.750
0.665 0.165 0.250
0.665 0.165 0.750
0.835 0.665 0.250
0.835 0.665 0.750
0.000 0.000 0.000
0.500 0.500 0.500
0.000 0.000 0.266
0.000 0.000 0.734
0.099 0.707 0.000
0.207 0.599 0.500
0.293 0.099 0.000
0.401 0.207 0.500
0.500 0.500 0.234
0.500 0.500 0.766
0.599 0.793 0.500
0.707 0.901 0.000
0.793 0.401 0.500
0.901 0.293 0.000
```

(6)
Simulated powder XRD pattern of AcMg2Tl2In for Cu Kα (λ = 1.5418 Å), from a cell relaxed with PBE.
No peak broadening, texture or thermal motion is included.

Top 10 peaks for 5° ≤ 2θ ≤ 70°, in order of falling intensity:
d/Å  2θ (°)  Rel. int.
2.775  32.26  100
2.689  33.32  95
3.794  23.45  73
2.828  31.64  60
2.557  35.09  42
1.897  47.96  38
3.934  22.60  31
1.474  63.09  28
1.587  58.11  25
1.500  61.83  16

Cell and atoms:
```
AcMg2Tl2In
1.0
7.047 0.000 0.000
0.000 9.483 0.000
0.000 0.000 5.114
Ac Mg Tl In
2 4 4 2
Direct
0.000 0.000 0.000
0.500 0.500 0.500
0.203 0.349 0.000
0.297 0.849 0.500
0.703 0.151 0.500
0.797 0.651 0.000
0.243 0.174 0.500
0.257 0.674 0.000
0.743 0.326 0.000
0.757 0.826 0.500
0.000 0.500 0.500
0.500 0.000 0.000
```

(7)
Simulated powder XRD pattern of Pr2TlHgO5 for Cu Kα (λ = 1.5418 Å), from a cell relaxed with PBE.
No peak broadening, texture or thermal motion is included.

Top 10 peaks for 5° ≤ 2θ ≤ 70°, in order of falling intensity:
d/Å  2θ (°)  Rel. int.
3.055  29.23  100
3.135  28.47  43
2.474  36.31  25
1.942  46.77  25
1.795  50.87  22
2.215  40.74  21
2.800  31.96  20
1.685  54.45  14
1.400  66.82  14
3.499  25.46  13

Cell and atoms:
```
Pr2TlHgO5
1.0
6.997 0.000 0.000
0.000 6.997 0.000
0.000 0.000 6.273
Pr Tl Hg O
4 2 2 10
Direct
0.175 0.325 0.000
0.325 0.825 0.000
0.675 0.175 0.000
0.825 0.675 0.000
0.000 0.500 0.500
0.500 0.000 0.500
0.000 0.000 0.500
0.500 0.500 0.500
0.000 0.000 0.000
0.136 0.636 0.228
0.136 0.636 0.772
0.364 0.136 0.228
0.364 0.136 0.772
0.500 0.500 0.000
0.636 0.864 0.228
0.636 0.864 0.772
0.864 0.364 0.228
0.864 0.364 0.772
```

(8)
Simulated powder XRD pattern of CsMgH12Cl3O6 for Cu Kα (λ = 1.5418 Å), from a cell relaxed with PBE.
No peak broadening, texture or thermal motion is included.

Top 10 peaks for 5° ≤ 2θ ≤ 70°, in order of falling intensity:
d/Å  2θ (°)  Rel. int.
3.408  26.15  100
3.048  29.31  85
4.834  18.35  66
4.807  18.46  61
6.816  12.99  54
3.036  29.42  27
2.774  32.28  26
2.406  37.37  24
2.413  37.26  23
3.060  29.19  20

Cell and atoms:
```
CsMgH12Cl3O6
1.0
6.818 0.000 0.000
-0.076 6.818 0.000
-0.034 -0.042 13.625
Cs Mg H Cl O
2 2 24 6 12
Direct
0.000 0.000 0.000
0.040 0.959 0.500
0.520 0.479 0.751
0.520 0.480 0.251
0.178 0.273 0.282
0.180 0.424 0.370
0.183 0.545 0.852
0.186 0.715 0.774
0.280 0.422 0.584
0.284 0.814 0.228
0.313 0.137 0.782
0.321 0.423 0.077
0.455 0.818 0.150
0.462 0.280 0.577
0.463 0.139 0.870
0.463 0.241 0.084
0.576 0.818 0.631
0.577 0.719 0.418
0.578 0.679 0.924
0.585 0.142 0.352
0.719 0.537 0.424
0.728 0.820 0.719
0.755 0.146 0.274
0.760 0.537 0.918
0.854 0.243 0.727
0.857 0.413 0.650
0.859 0.536 0.132
0.861 0.688 0.219
0.004 0.464 0.505
0.019 0.981 0.250
0.020 0.979 0.750
0.036 0.496 0.997
0.505 0.964 0.005
0.536 0.995 0.497
0.247 0.389 0.308
0.250 0.591 0.792
0.406 0.390 0.615
0.409 0.751 0.210
0.428 0.207 0.809
0.432 0.368 0.114
0.608 0.592 0.387
0.612 0.751 0.693
0.631 0.209 0.292
0.633 0.568 0.887
0.790 0.367 0.709
0.792 0.572 0.193
```

(9)
Simulated powder XRD pattern of Pu5Pd4 for Cu Kα (λ = 1.5418 Å), from a cell relaxed with PBE.
No peak broadening, texture or thermal motion is included.

Top 10 peaks for 5° ≤ 2θ ≤ 70°, in order of falling intensity:
d/Å  2θ (°)  Rel. int.
2.430  37.00  100
2.458  36.56  71
2.301  39.15  56
3.918  22.69  35
1.564  59.06  33
2.131  42.42  26
2.597  34.54  19
7.960  11.12  17
1.352  69.53  16
2.344  38.41  16

Cell and atoms:
```
Pu5Pd4
1.0
4.719 -2.301 0.000
4.719 2.301 0.000
-3.292 0.000 7.960
Pu Pd
5 4
Direct
0.000 0.000 0.000
0.270 0.270 0.061
0.320 0.320 0.405
0.680 0.680 0.595
0.730 0.730 0.939
0.035 0.035 0.675
0.382 0.382 0.766
0.618 0.618 0.234
0.965 0.965 0.325
```

(10)
Simulated powder XRD pattern of Mg6ZnIn3 for Cu Kα (λ = 1.5418 Å), from a cell relaxed with PBE.
No peak broadening, texture or thermal motion is included.

Top 10 peaks for 5° ≤ 2θ ≤ 70°, in order of falling intensity:
d/Å  2θ (°)  Rel. int.
2.467  36.42  100
3.669  24.26  87
2.436  36.91  87
2.539  35.35  64
2.351  38.28  50
3.294  27.07  38
2.653  33.79  32
1.452  64.16  24
1.834  49.70  21
7.824  11.31  19

Cell and atoms:
```
Mg6ZnIn3
1.0
8.383 0.000 0.000
0.000 5.079 0.000
-4.011 0.000 10.425
Mg Zn In
12 2 6
Direct
0.037 0.250 0.428
0.184 0.750 0.171
0.261 0.250 0.022
0.344 0.250 0.331
0.366 0.750 0.796
0.429 0.250 0.641
0.571 0.750 0.359
0.634 0.250 0.204
0.656 0.750 0.669
0.739 0.750 0.978
0.816 0.250 0.829
0.963 0.750 0.572
0.464 0.750 0.077
0.536 0.250 0.923
0.044 0.750 0.877
0.126 0.250 0.728
0.278 0.750 0.477
0.722 0.250 0.523
0.874 0.750 0.272
0.956 0.250 0.123
```

(11)
Simulated powder XRD pattern of BaNaTeI for Cu Kα (λ = 1.5418 Å), from a cell relaxed with PBE.
No peak broadening, texture or thermal motion is included.

Top 10 peaks for 5° ≤ 2θ ≤ 70°, in order of falling intensity:
d/Å  2θ (°)  Rel. int.
3.709  24.00  100
2.568  34.94  81
3.231  27.61  62
2.349  38.32  54
7.836  11.29  37
4.160  21.36  36
1.437  64.91  24
1.733  52.82  21
2.111  42.83  21
1.558  59.33  19

Cell and atoms:
```
BaNaTeI
1.0
2.568 1.483 15.673
-2.568 1.483 15.673
0.000 -2.965 15.673
Ba Na Te I
2 2 2 2
Direct
0.088 0.088 0.088
0.912 0.912 0.912
0.311 0.311 0.311
0.689 0.689 0.689
0.379 0.379 0.379
0.621 0.621 0.621
0.207 0.207 0.207
0.793 0.793 0.793
```

(12)
Simulated powder XRD pattern of Tm6FeRh for Cu Kα (λ = 1.5418 Å), from a cell relaxed with PBE.
No peak broadening, texture or thermal motion is included.

Top 10 peaks for 5° ≤ 2θ ≤ 70°, in order of falling intensity:
d/Å  2θ (°)  Rel. int.
2.620  34.22  100
3.126  28.55  54
2.935  30.46  47
1.852  49.20  24
1.855  49.10  23
1.622  56.76  15
1.540  60.08  14
1.946  46.68  13
1.467  63.39  11
1.770  51.65  11

Cell and atoms:
```
Tm6FeRh
1.0
6.543 0.000 0.000
0.000 10.619 0.000
-1.895 0.000 6.244
Tm Fe Rh
12 2 2
Direct
0.232 0.170 0.242
0.232 0.830 0.242
0.246 0.500 0.236
0.254 0.000 0.764
0.268 0.330 0.758
0.268 0.670 0.758
0.732 0.330 0.242
0.732 0.670 0.242
0.746 0.000 0.236
0.754 0.500 0.764
0.768 0.170 0.758
0.768 0.830 0.758
0.000 0.000 0.000
0.500 0.500 0.000
0.000 0.500 0.500
0.500 0.000 0.500
```